No. 1
The following is a theoretical powder diffraction line list of KTe3P. It was derived from a PBE-relaxed structure, using Cu Kα.
Peak positions follow from Bragg's law for the DFT cell and can differ from measured ones.

Structural model:
Cell lengths 5.420, 5.420, 5.420 Å; angles 90.00, 90.00, 90.00 degrees
Sites, in units of the cell vectors:
K: 0.000 0.000 0.000
Te: 0.000 0.500 0.500
Te: 0.500 0.000 0.500
Te: 0.500 0.500 0.000
P: 0.500 0.500 0.500

The 10 most intense peaks (15 to 90 degrees two-theta), by angle:
- 2θ 16.4, d 5.420, I = 26
- 2θ 28.5, d 3.129, I = 100
- 2θ 33.1, d 2.710, I = 69
- 2θ 37.1, d 2.424, I = 13
- 2θ 47.4, d 1.916, I = 49
- 2θ 56.3, d 1.634, I = 43
- 2θ 59.0, d 1.565, I = 17
- 2θ 76.6, d 1.243, I = 17
- 2θ 79.0, d 1.212, I = 21
- 2θ 88.3, d 1.106, I = 16


No. 2
The following is a theoretical powder diffraction line list of KPW. It was derived from a PBE-relaxed structure, using Cu Kα.
Peak positions follow from Bragg's law for the DFT cell and can differ from measured ones.

Structural model:
Cell lengths 3.831, 3.831, 11.415 Å; angles 90.00, 90.00, 90.00 degrees
Sites, in units of the cell vectors:
K: 0.250 0.250 0.199
K: 0.750 0.750 0.801
P: 0.250 0.250 0.645
P: 0.750 0.750 0.355
W: 0.250 0.750 0.500
W: 0.750 0.250 0.500

The 10 most intense peaks (15 to 90 degrees two-theta), by angle:
- 2θ 15.5, d 5.708, I = 79
- 2θ 23.4, d 3.805, I = 56
- 2θ 34.0, d 2.635, I = 77
- 2θ 36.7, d 2.447, I = 100
- 2θ 40.9, d 2.207, I = 47
- 2θ 46.2, d 1.965, I = 42
- 2θ 47.5, d 1.915, I = 31
- 2θ 48.2, d 1.889, I = 34
- 2θ 52.4, d 1.746, I = 37
- 2θ 53.6, d 1.711, I = 24


No. 3
The following is a theoretical powder diffraction line list of K6YP3. It was derived from a PBE-relaxed structure, using Cu Kα.
Peak positions follow from Bragg's law for the DFT cell and can differ from measured ones.

Structural model:
Cell lengths 8.832, 8.832, 6.240 Å; angles 101.72, 101.72, 75.06 degrees
Sites, in units of the cell vectors:
K: 0.070 0.686 0.655
K: 0.234 0.234 0.949
K: 0.314 0.930 0.345
K: 0.686 0.070 0.655
K: 0.766 0.766 0.051
K: 0.930 0.314 0.345
Y: 0.500 0.500 0.500
P: 0.000 0.000 0.000
P: 0.314 0.314 0.500
P: 0.686 0.686 0.500

The 10 most intense peaks (15 to 90 degrees two-theta), by angle:
- 2θ 16.5, d 5.380, I = 49
- 2θ 16.7, d 5.322, I = 87
- 2θ 19.4, d 4.571, I = 48
- 2θ 22.1, d 4.021, I = 59
- 2θ 23.8, d 3.745, I = 72
- 2θ 25.7, d 3.467, I = 50
- 2θ 30.6, d 2.924, I = 100
- 2θ 31.2, d 2.865, I = 91
- 2θ 33.7, d 2.662, I = 36
- 2θ 34.1, d 2.630, I = 71


No. 4
The following is a theoretical powder diffraction line list of KZrP. It was derived from a PBE-relaxed structure, using Cu Kα.
Peak positions follow from Bragg's law for the DFT cell and can differ from measured ones.

Structural model:
Cell lengths 3.640, 12.815, 3.690 Å; angles 90.00, 90.00, 90.00 degrees
Sites, in units of the cell vectors:
K: 0.000 0.152 0.000
K: 0.500 0.848 0.500
Zr: 0.000 0.423 0.490
Zr: 0.500 0.577 0.990
P: 0.000 0.634 0.490
P: 0.500 0.366 0.990

The 10 most intense peaks (15 to 90 degrees two-theta), by angle:
- 2θ 25.4, d 3.501, I = 22
- 2θ 27.9, d 3.200, I = 70
- 2θ 32.3, d 2.771, I = 30
- 2θ 34.6, d 2.591, I = 23
- 2θ 35.3, d 2.540, I = 100
- 2θ 37.4, d 2.404, I = 59
- 2θ 43.0, d 2.105, I = 29
- 2θ 49.4, d 1.844, I = 21
- 2θ 50.1, d 1.821, I = 30
- 2θ 55.8, d 1.648, I = 21


No. 5
The following is a theoretical powder diffraction line list of KPaPbS4. It was derived from a PBE-relaxed structure, using Cu Kα.
Peak positions follow from Bragg's law for the DFT cell and can differ from measured ones.

Structural model:
Cell lengths 8.594, 8.594, 8.594 Å; angles 121.80, 118.68, 89.60 degrees
Sites, in units of the cell vectors:
K: 0.377 0.127 0.250
K: 0.623 0.873 0.750
Pa: 0.000 0.000 0.500
Pa: 0.000 0.500 0.000
Pb: 0.000 0.500 0.500
Pb: 0.500 0.500 0.000
S: 0.192 0.744 0.448
S: 0.203 0.256 0.948
S: 0.211 0.228 0.516
S: 0.211 0.695 0.984
S: 0.789 0.305 0.016
S: 0.789 0.772 0.484
S: 0.797 0.744 0.052
S: 0.808 0.256 0.552

The 10 most intense peaks (15 to 90 degrees two-theta), by angle:
- 2θ 24.1, d 3.695, I = 100
- 2θ 24.3, d 3.656, I = 34
- 2θ 24.7, d 3.604, I = 74
- 2θ 25.0, d 3.559, I = 56
- 2θ 25.8, d 3.447, I = 47
- 2θ 29.3, d 3.049, I = 48
- 2θ 29.5, d 3.024, I = 100
- 2θ 38.3, d 2.350, I = 63
- 2θ 42.1, d 2.147, I = 92
- 2θ 43.3, d 2.089, I = 34


No. 6
The following is a theoretical powder diffraction line list of K2PaPd2S4. It was derived from a PBE-relaxed structure, using Cu Kα.
Peak positions follow from Bragg's law for the DFT cell and can differ from measured ones.

Structural model:
Cell lengths 7.529, 7.529, 7.645 Å; angles 108.73, 108.73, 30.90 degrees
Sites, in units of the cell vectors:
K: 0.136 0.136 0.072
K: 0.864 0.864 0.928
Pa: 0.000 0.000 0.500
Pd: 0.316 0.316 0.490
Pd: 0.684 0.684 0.510
S: 0.191 0.191 0.688
S: 0.486 0.486 0.732
S: 0.514 0.514 0.268
S: 0.809 0.809 0.312

The 10 most intense peaks (15 to 90 degrees two-theta), by angle:
- 2θ 24.7, d 3.604, I = 57
- 2θ 29.5, d 3.026, I = 100
- 2θ 32.4, d 2.760, I = 63
- 2θ 34.3, d 2.611, I = 94
- 2θ 34.7, d 2.584, I = 81
- 2θ 39.5, d 2.281, I = 33
- 2θ 42.7, d 2.119, I = 44
- 2θ 43.2, d 2.095, I = 40
- 2θ 45.2, d 2.005, I = 34
- 2θ 53.8, d 1.704, I = 29